The following is a computed powder X-ray diffraction pattern of BeCuAu4. It was derived from a structure optimized by DFT (GGA-PBE), using Cu Kα X-rays.
Lines closer than 0.1° are merged.

Peak list (8 most intense, 2θ = 10–90°, in order of falling intensity)
2.403 Å, rel. 100; 1.413 Å, rel. 19; 2.470 Å, rel. 19; 1.945 Å, rel. 17; 1.428 Å, rel. 17; 1.926 Å, rel. 14; 1.250 Å, rel. 13; 1.113 Å, rel. 11

Cell and atoms:
a = 5.0018 Å, b = 5.0018 Å, c = 5.0018 Å
α = 104.11°, β = 104.11°, γ = 120.82°
Positions (direct):
Be (0.0000, 0.0000, 0.0000)
Cu (0.5000, 0.5000, 0.0000)
Au (0.0872, 0.5872, 0.1743)
Au (0.4128, 0.9128, 0.8257)
Au (0.5872, 0.4128, 0.5000)
Au (0.9128, 0.0872, 0.5000)



The following is a computed powder X-ray diffraction pattern of Be3Cu3Au. It was derived from a structure optimized by DFT (GGA-PBE), using Cu Kα X-rays.
Lines closer than 0.1° are merged.

Peak list (8 most intense, 2θ = 10–90°, in order of falling intensity)
3.299 Å, rel. 100; 1.926 Å, rel. 96; 3.355 Å, rel. 40; 2.197 Å, rel. 34; 2.906 Å, rel. 28; 2.352 Å, rel. 27; 2.004 Å, rel. 25; 1.480 Å, rel. 22

Cell and atoms:
a = 6.7009 Å, b = 4.0080 Å, c = 6.7142 Å
α = 90.00°, β = 119.93°, γ = 90.00°
Positions (direct):
Be (0.0319, 0.2500, 0.4169)
Be (0.1155, 0.7500, 0.0309)
Be (0.4162, 0.7500, 0.8852)
Be (0.5838, 0.2500, 0.1148)
Be (0.8845, 0.2500, 0.9691)
Be (0.9681, 0.7500, 0.5831)
Cu (0.2678, 0.7500, 0.4806)
Cu (0.2864, 0.2500, 0.2665)
Cu (0.4798, 0.2500, 0.7130)
Cu (0.5202, 0.7500, 0.2870)
Cu (0.7136, 0.7500, 0.7335)
Cu (0.7322, 0.2500, 0.5194)
Au (0.1659, 0.2500, 0.8329)
Au (0.8341, 0.7500, 0.1671)



The following is a computed powder X-ray diffraction pattern of BeCu2Au3. It was derived from a structure optimized by DFT (GGA-PBE), using Cu Kα X-rays.
Lines closer than 0.1° are merged.

Peak list (8 most intense, 2θ = 10–90°, in order of falling intensity)
2.193 Å, rel. 100; 2.123 Å, rel. 47; 3.003 Å, rel. 45; 3.209 Å, rel. 25; 1.771 Å, rel. 19; 1.238 Å, rel. 16; 1.280 Å, rel. 15; 1.501 Å, rel. 15

Cell and atoms:
a = 6.7189 Å, b = 6.7189 Å, c = 6.4184 Å
α = 90.00°, β = 90.00°, γ = 143.19°
Positions (direct):
Be (0.1607, 0.8393, 0.0000)
Be (0.8393, 0.1607, 0.0000)
Cu (0.1663, 0.8337, 0.5000)
Cu (0.5000, 0.5000, 0.0000)
Cu (0.5000, 0.5000, 0.5000)
Cu (0.8337, 0.1663, 0.5000)
Au (0.0000, 0.0000, 0.2412)
Au (0.0000, 0.0000, 0.7588)
Au (0.3275, 0.6725, 0.2288)
Au (0.3275, 0.6725, 0.7712)
Au (0.6725, 0.3275, 0.2288)
Au (0.6725, 0.3275, 0.7712)



The following is a computed powder X-ray diffraction pattern of Be3Cu2Au5. It was derived from a structure optimized by DFT (GGA-PBE), using Cu Kα X-rays.
Lines closer than 0.1° are merged.

Peak list (8 most intense, 2θ = 10–90°, in order of falling intensity)
2.929 Å, rel. 100; 2.147 Å, rel. 86; 2.293 Å, rel. 79; 2.406 Å, rel. 56; 2.177 Å, rel. 45; 2.125 Å, rel. 40; 3.746 Å, rel. 36; 2.990 Å, rel. 32

Cell and atoms:
a = 7.6550 Å, b = 7.6550 Å, c = 5.0545 Å
α = 91.08°, β = 91.08°, γ = 107.44°
Positions (direct):
Be (0.0041, 0.9959, 0.7500)
Be (0.2460, 0.5322, 0.8866)
Be (0.4678, 0.7540, 0.6134)
Be (0.5322, 0.2460, 0.3866)
Be (0.7540, 0.4678, 0.1134)
Be (0.9959, 0.0041, 0.2500)
Cu (0.1580, 0.6149, 0.4277)
Cu (0.3851, 0.8420, 0.0723)
Cu (0.6149, 0.1580, 0.9277)
Cu (0.8420, 0.3851, 0.5723)
Au (0.0315, 0.6976, 0.9367)
Au (0.1541, 0.2785, 0.5659)
Au (0.2785, 0.1541, 0.0659)
Au (0.3024, 0.9685, 0.5633)
Au (0.4568, 0.5432, 0.2500)
Au (0.5432, 0.4568, 0.7500)
Au (0.6976, 0.0315, 0.4367)
Au (0.7215, 0.8459, 0.9341)
Au (0.8459, 0.7215, 0.4341)
Au (0.9685, 0.3024, 0.0633)



The following is a computed powder X-ray diffraction pattern of Be4Cu2Au5. It was derived from a structure optimized by DFT (GGA-PBE), using Cu Kα X-rays.
Lines closer than 0.1° are merged.

Peak list (8 most intense, 2θ = 10–90°, in order of falling intensity)
2.779 Å, rel. 100; 2.984 Å, rel. 77; 3.502 Å, rel. 56; 2.182 Å, rel. 54; 2.219 Å, rel. 51; 2.227 Å, rel. 50; 2.323 Å, rel. 41; 2.101 Å, rel. 41

Cell and atoms:
a = 4.6424 Å, b = 4.8897 Å, c = 7.2578 Å
α = 78.68°, β = 76.87°, γ = 71.46°
Positions (direct):
Be (0.0106, 0.3936, 0.2882)
Be (0.3882, 0.9419, 0.2738)
Be (0.6118, 0.0581, 0.7262)
Be (0.9894, 0.6064, 0.7118)
Cu (0.4430, 0.6429, 0.8414)
Cu (0.5570, 0.3571, 0.1586)
Au (0.1263, 0.1204, 0.6135)
Au (0.1827, 0.1977, 0.9885)
Au (0.5000, 0.5000, 0.5000)
Au (0.8173, 0.8023, 0.0115)
Au (0.8737, 0.8796, 0.3865)



The following is a computed powder X-ray diffraction pattern of LaBeCuAu2. It was derived from a structure optimized by DFT (GGA-PBE), using Cu Kα X-rays.
Lines closer than 0.1° are merged.

Peak list (8 most intense, 2θ = 10–90°, in order of falling intensity)
2.645 Å, rel. 100; 2.327 Å, rel. 36; 1.397 Å, rel. 28; 1.607 Å, rel. 23; 2.222 Å, rel. 16; 1.646 Å, rel. 12; 1.351 Å, rel. 12; 1.323 Å, rel. 12

Cell and atoms:
a = 4.6547 Å, b = 4.6547 Å, c = 4.4442 Å
α = 90.00°, β = 90.00°, γ = 90.00°
Positions (direct):
La (0.0000, 0.0000, 0.0000)
Be (0.5000, 0.5000, 0.5000)
Cu (0.5000, 0.5000, 0.0000)
Au (0.0000, 0.5000, 0.5000)
Au (0.5000, 0.0000, 0.5000)



The following is a computed powder X-ray diffraction pattern of PmBeCuAu6. It was derived from a structure optimized by DFT (GGA-PBE), using Cu Kα X-rays.
Lines closer than 0.1° are merged.

Peak list (8 most intense, 2θ = 10–90°, in order of falling intensity)
2.763 Å, rel. 100; 2.323 Å, rel. 53; 2.199 Å, rel. 38; 2.167 Å, rel. 29; 1.543 Å, rel. 20; 2.445 Å, rel. 19; 2.611 Å, rel. 17; 1.944 Å, rel. 16

Cell and atoms:
a = 7.8668 Å, b = 7.8668 Å, c = 7.8668 Å
α = 126.31°, β = 112.03°, γ = 91.87°
Positions (direct):
Pm (0.4657, 0.2157, 0.2500)
Pm (0.5343, 0.7843, 0.7500)
Be (0.0000, 0.0000, 0.0000)
Be (0.5000, 0.0000, 0.5000)
Cu (0.0000, 0.0000, 0.5000)
Cu (0.0000, 0.5000, 0.0000)
Au (0.1299, 0.4109, 0.2905)
Au (0.1299, 0.8393, 0.7190)
Au (0.1770, 0.9270, 0.2500)
Au (0.2410, 0.4910, 0.7500)
Au (0.3796, 0.1607, 0.7905)
Au (0.3796, 0.5891, 0.2190)
Au (0.6204, 0.4109, 0.7810)
Au (0.6204, 0.8393, 0.2095)
Au (0.7590, 0.5090, 0.2500)
Au (0.8230, 0.0730, 0.7500)
Au (0.8701, 0.1607, 0.2810)
Au (0.8701, 0.5891, 0.7095)



The following is a computed powder X-ray diffraction pattern of SrBeCuAu6. It was derived from a structure optimized by DFT (GGA-PBE), using Cu Kα X-rays.
Lines closer than 0.1° are merged.

Peak list (8 most intense, 2θ = 10–90°, in order of falling intensity)
2.829 Å, rel. 100; 2.066 Å, rel. 80; 3.025 Å, rel. 49; 2.166 Å, rel. 31; 4.133 Å, rel. 27; 1.761 Å, rel. 19; 1.868 Å, rel. 16; 2.480 Å, rel. 15

Cell and atoms:
a = 8.3264 Å, b = 8.3264 Å, c = 8.3264 Å
α = 126.68°, β = 117.29°, γ = 86.80°
Positions (direct):
Sr (0.4085, 0.1585, 0.2500)
Sr (0.5915, 0.8415, 0.7500)
Be (0.0000, 0.5000, 0.5000)
Be (0.5000, 0.5000, 0.0000)
Cu (0.0000, 0.0000, 0.5000)
Cu (0.0000, 0.5000, 0.0000)
Au (0.1109, 0.4070, 0.2630)
Au (0.1109, 0.8479, 0.7039)
Au (0.1409, 0.8909, 0.2500)
Au (0.3279, 0.5779, 0.7500)
Au (0.3560, 0.1521, 0.7630)
Au (0.3560, 0.5930, 0.2039)
Au (0.6440, 0.4070, 0.7961)
Au (0.6440, 0.8479, 0.2370)
Au (0.6721, 0.4221, 0.2500)
Au (0.8591, 0.1091, 0.7500)
Au (0.8891, 0.1521, 0.2961)
Au (0.8891, 0.5930, 0.7370)



The following is a computed powder X-ray diffraction pattern of DyBe3Au6. It was derived from a structure optimized by DFT (GGA-PBE), using Cu Kα X-rays.
Lines closer than 0.1° are merged.

Peak list (8 most intense, 2θ = 10–90°, in order of falling intensity)
2.432 Å, rel. 100; 2.082 Å, rel. 71; 2.572 Å, rel. 69; 3.069 Å, rel. 63; 2.043 Å, rel. 59; 2.833 Å, rel. 40; 2.946 Å, rel. 39; 3.357 Å, rel. 35

Cell and atoms:
a = 6.9558 Å, b = 6.9558 Å, c = 6.9558 Å
α = 48.07°, β = 48.07°, γ = 48.07°
Positions (direct):
Dy (0.0000, 0.0000, 0.0000)
Be (0.3102, 0.3102, 0.3102)
Be (0.6454, 0.6454, 0.6454)
Be (0.8425, 0.8425, 0.8425)
Au (0.0779, 0.5785, 0.5716)
Au (0.2897, 0.4834, 0.8870)
Au (0.4834, 0.8870, 0.2897)
Au (0.5716, 0.0779, 0.5785)
Au (0.5785, 0.5716, 0.0779)
Au (0.8870, 0.2897, 0.4834)



The following is a computed powder X-ray diffraction pattern of Dy2Be7Au12. It was derived from a structure optimized by DFT (GGA-PBE), using Cu Kα X-rays.
Lines closer than 0.1° are merged.

Peak list (8 most intense, 2θ = 10–90°, in order of falling intensity)
2.512 Å, rel. 100; 3.240 Å, rel. 27; 1.966 Å, rel. 15; 1.988 Å, rel. 15; 1.870 Å, rel. 13; 1.298 Å, rel. 11; 1.227 Å, rel. 11; 3.100 Å, rel. 10

Cell and atoms:
a = 9.8977 Å, b = 9.8977 Å, c = 3.9762 Å
α = 90.00°, β = 90.00°, γ = 120.00°
Positions (direct):
Dy (0.3333, 0.6667, 0.2525)
Dy (0.6667, 0.3333, 0.7475)
Be (0.0000, 0.0000, 0.0000)
Be (0.1125, 0.7130, 0.7525)
Be (0.2870, 0.3995, 0.7525)
Be (0.3995, 0.1125, 0.2475)
Be (0.6005, 0.8875, 0.7525)
Be (0.7130, 0.6005, 0.2475)
Be (0.8875, 0.2870, 0.2475)
Au (0.0803, 0.4593, 0.7494)
Au (0.1197, 0.2597, 0.2521)
Au (0.1401, 0.8803, 0.2521)
Au (0.2597, 0.1401, 0.7479)
Au (0.3790, 0.9197, 0.7494)
Au (0.4593, 0.3790, 0.2506)
Au (0.5407, 0.6210, 0.7494)
Au (0.6210, 0.0803, 0.2506)
Au (0.7403, 0.8599, 0.2521)
Au (0.8599, 0.1197, 0.7479)
Au (0.8803, 0.7403, 0.7479)
Au (0.9197, 0.5407, 0.2506)



The following is a computed powder X-ray diffraction pattern of DyBeZn2Au5. It was derived from a structure optimized by DFT (GGA-PBE), using Cu Kα X-rays.
Lines closer than 0.1° are merged.

Peak list (8 most intense, 2θ = 10–90°, in order of falling intensity)
2.447 Å, rel. 100; 3.111 Å, rel. 87; 2.208 Å, rel. 60; 1.569 Å, rel. 41; 2.230 Å, rel. 38; 2.249 Å, rel. 36; 1.491 Å, rel. 24; 1.325 Å, rel. 15

Cell and atoms:
a = 7.5100 Å, b = 7.5100 Å, c = 7.5100 Å
α = 145.45°, β = 132.85°, γ = 59.75°
Positions (direct):
Dy (0.0000, 0.0000, 0.0000)
Be (0.5000, 0.5000, 0.0000)
Zn (0.3016, 0.8016, 0.5000)
Zn (0.6984, 0.1984, 0.5000)
Au (0.1023, 0.3661, 0.7362)
Au (0.3701, 0.6339, 0.7362)
Au (0.5000, 0.0000, 0.5000)
Au (0.6299, 0.3661, 0.2638)
Au (0.8977, 0.6339, 0.2638)



The following is a computed powder X-ray diffraction pattern of ErBe4Au12. It was derived from a structure optimized by DFT (GGA-PBE), using Cu Kα X-rays.
Lines closer than 0.1° are merged.

Peak list (8 most intense, 2θ = 10–90°, in order of falling intensity)
2.668 Å, rel. 100; 2.255 Å, rel. 52; 1.447 Å, rel. 22; 1.244 Å, rel. 19; 1.406 Å, rel. 17; 1.655 Å, rel. 16; 1.369 Å, rel. 13; 2.436 Å, rel. 10

Cell and atoms:
a = 7.3067 Å, b = 7.3067 Å, c = 7.3067 Å
α = 109.47°, β = 109.47°, γ = 109.47°
Positions (direct):
Er (0.0000, 0.0000, 0.0000)
Be (0.0000, 0.0000, 0.5000)
Be (0.0000, 0.5000, 0.0000)
Be (0.5000, 0.0000, 0.0000)
Be (0.5000, 0.5000, 0.5000)
Au (0.1610, 0.3302, 0.8308)
Au (0.1692, 0.4994, 0.3302)
Au (0.1692, 0.8390, 0.6698)
Au (0.3302, 0.1692, 0.4994)
Au (0.3302, 0.8308, 0.1610)
Au (0.4994, 0.3302, 0.1692)
Au (0.5006, 0.6698, 0.8308)
Au (0.6698, 0.1692, 0.8390)
Au (0.6698, 0.8308, 0.5006)
Au (0.8308, 0.1610, 0.3302)
Au (0.8308, 0.5006, 0.6698)
Au (0.8390, 0.6698, 0.1692)